No. 1
Calculated PXRD pattern
Compound: Nd2ZnTe
Radiation: Cu Kα
Structure: DFT lattice parameters and positions (GGA-PBE)

```
Nd2ZnTe
1.0
5.3627 0.0000 0.0000
0.0000 5.3627 0.0000
0.0000 0.0000 3.8126
Nd Zn Te
2 1 1
Direct
0.0000 0.5000 0.0000
0.5000 0.0000 0.0000
0.0000 0.0000 0.5000
0.5000 0.5000 0.5000
```

Largest 6 diffraction maxima, most intense first, 2θ = 10–90°:
2θ 33.36, I = 100
2θ 59.67, I = 25
2θ 59.50, I = 12
2θ 47.98, I = 12
2θ 79.99, I = 10
2θ 69.99, I = 8

=====

No. 2
Calculated PXRD pattern
Compound: Sc5Co6
Radiation: Cu Kα
Structure: DFT lattice parameters and positions (GGA-PBE)

```
Sc5Co6
1.0
-2.1397 3.1200 6.4230
2.1397 -3.1200 6.4230
2.1397 3.1200 -6.4230
Sc Co
5 6
Direct
0.0000 0.0000 0.0000
0.1742 0.6742 0.5000
0.3526 0.3526 0.0000
0.6474 0.6474 0.0000
0.8258 0.3258 0.5000
0.0805 0.8339 0.2466
0.2296 0.5000 0.7296
0.4128 0.1661 0.2466
0.5872 0.8339 0.7534
0.7704 0.5000 0.2704
0.9195 0.1661 0.7534
```

Largest 6 diffraction maxima, most intense first, 2θ = 10–90°:
2θ 41.57, I = 100
2θ 42.22, I = 47
2θ 76.75, I = 26
2θ 75.40, I = 14
2θ 61.24, I = 14
2θ 29.51, I = 9

=====

No. 3
Calculated PXRD pattern
Compound: Th8Co2Mo
Radiation: Cu Kα
Structure: DFT lattice parameters and positions (GGA-PBE)

```
Th8Co2Mo
1.0
4.0351 -6.6358 0.0000
4.0351 6.6358 0.0000
-1.9953 0.0000 5.5692
Th Co Mo
8 2 1
Direct
0.0000 0.0000 0.0000
0.0331 0.2743 0.5939
0.1536 0.5918 0.1767
0.2743 0.0331 0.5939
0.4733 0.7151 0.7592
0.5918 0.1536 0.1767
0.7151 0.4733 0.7592
0.7473 0.7473 0.3535
0.0935 0.6558 0.6776
0.6558 0.0935 0.6776
0.3740 0.3740 0.1785
```

Largest 6 diffraction maxima, most intense first, 2θ = 10–90°:
2θ 31.38, I = 100
2θ 30.99, I = 90
2θ 35.95, I = 90
2θ 32.71, I = 77
2θ 34.27, I = 68
2θ 37.69, I = 51

=====

No. 4
Calculated PXRD pattern
Compound: PmNbRe
Radiation: Cu Kα
Structure: DFT lattice parameters and positions (GGA-PBE)

```
PmNbRe
1.0
0.0000 4.3742 5.2329
2.8963 0.0000 5.2329
2.8963 4.3742 0.0000
Pm Nb Re
2 2 2
Direct
0.1770 0.8230 0.1770
0.8230 0.1770 0.8230
0.3188 0.3188 0.6812
0.6812 0.6812 0.3188
0.2500 0.2500 0.2500
0.7500 0.7500 0.7500
```

Largest 6 diffraction maxima, most intense first, 2θ = 10–90°:
2θ 41.17, I = 100
2θ 35.47, I = 94
2θ 31.64, I = 45
2θ 20.30, I = 45
2θ 40.16, I = 40
2θ 34.27, I = 37

=====

No. 5
Calculated PXRD pattern
Compound: Cr2Mo6W3
Radiation: Cu Kα
Structure: DFT lattice parameters and positions (GGA-PBE)

```
Cr2Mo6W3
1.0
-1.2878 2.3369 14.2656
1.2878 -2.3369 14.2656
1.2878 2.3369 -14.2656
Cr Mo W
2 6 3
Direct
0.0383 0.0383 0.0000
0.9617 0.9617 0.0000
0.1283 0.6283 0.5000
0.2224 0.2224 0.0000
0.4104 0.9104 0.5000
0.5896 0.0896 0.5000
0.7776 0.7776 0.0000
0.8717 0.3717 0.5000
0.3180 0.3180 0.0000
0.5000 0.5000 0.0000
0.6820 0.6820 0.0000
```

Largest 6 diffraction maxima, most intense first, 2θ = 10–90°:
2θ 39.74, I = 100
2θ 38.52, I = 60
2θ 42.01, I = 53
2θ 44.45, I = 33
2θ 41.47, I = 24
2θ 87.01, I = 21

=====

No. 6
Calculated PXRD pattern
Compound: NpSi4Ni4
Radiation: Cu Kα
Structure: DFT lattice parameters and positions (GGA-PBE)

```
NpSi4Ni4
1.0
-3.9111 3.9111 2.1687
3.9111 -3.9111 2.1687
3.9111 3.9111 -2.1687
Np Si Ni
1 4 4
Direct
0.0000 0.0000 0.0000
0.1192 0.6116 0.7308
0.3884 0.1192 0.5076
0.6116 0.8808 0.4924
0.8808 0.3884 0.2692
0.1855 0.3249 0.5104
0.3249 0.8145 0.1393
0.6751 0.1855 0.8607
0.8145 0.6751 0.4896
```

Largest 6 diffraction maxima, most intense first, 2θ = 10–90°:
2θ 32.89, I = 100
2θ 36.32, I = 80
2θ 23.45, I = 79
2θ 56.43, I = 45
2θ 32.37, I = 42
2θ 52.66, I = 40

=====

No. 7
Calculated PXRD pattern
Compound: YAg
Radiation: Cu Kα
Structure: DFT lattice parameters and positions (GGA-PBE)

```
YAg
1.0
4.7552 0.0000 0.0000
-2.3776 4.1181 0.0000
0.0000 0.0000 10.5869
Y Ag
4 4
Direct
0.3333 0.6667 0.1008
0.3333 0.6667 0.3992
0.6667 0.3333 0.6008
0.6667 0.3333 0.8992
0.0000 0.0000 0.2500
0.0000 0.0000 0.7500
0.3333 0.6667 0.7500
0.6667 0.3333 0.2500
```

Largest 6 diffraction maxima, most intense first, 2θ = 10–90°:
2θ 33.44, I = 100
2θ 37.84, I = 97
2θ 16.75, I = 44
2θ 65.92, I = 29
2θ 51.38, I = 28
2θ 65.55, I = 26

=====

No. 8
Calculated PXRD pattern
Compound: Er6Ni2Se3S
Radiation: Cu Kα
Structure: DFT lattice parameters and positions (GGA-PBE)

```
Er6Ni2Se3S
1.0
3.3859 -5.8844 0.0000
3.3859 5.8844 0.0000
-2.2602 0.0000 6.7907
Er Ni Se S
6 2 3 1
Direct
0.0798 0.4240 0.7742
0.2317 0.2317 0.2270
0.4240 0.0798 0.7742
0.5760 0.9202 0.2258
0.7683 0.7683 0.7730
0.9202 0.5760 0.2258
0.1675 0.8325 0.0000
0.8325 0.1675 0.0000
0.0000 0.0000 0.5000
0.3385 0.6615 0.5000
0.6615 0.3385 0.5000
0.5000 0.5000 0.0000
```

Largest 6 diffraction maxima, most intense first, 2θ = 10–90°:
2θ 31.70, I = 100
2θ 44.49, I = 36
2θ 27.72, I = 25
2θ 46.41, I = 23
2θ 57.21, I = 12
2θ 46.29, I = 12

=====

No. 9
Calculated PXRD pattern
Compound: NaTi2Te4
Radiation: Cu Kα
Structure: DFT lattice parameters and positions (GGA-PBE)

```
NaTi2Te4
1.0
6.6274 0.0000 0.0000
0.0000 3.8640 0.0000
-2.2591 0.0000 8.0599
Na Ti Te
1 2 4
Direct
0.0000 0.0000 0.0000
0.0000 0.5000 0.5000
0.5000 0.0000 0.5000
0.2395 0.0000 0.7108
0.2638 0.5000 0.2891
0.7362 0.5000 0.7109
0.7605 0.0000 0.2892
```

Largest 6 diffraction maxima, most intense first, 2θ = 10–90°:
2θ 30.65, I = 100
2θ 10.98, I = 41
2θ 27.70, I = 34
2θ 40.19, I = 24
2θ 22.06, I = 22
2θ 47.40, I = 21

=====

No. 10
Calculated PXRD pattern
Compound: H2Br
Radiation: Cu Kα
Structure: DFT lattice parameters and positions (GGA-PBE)

```
H2Br
1.0
11.3635 0.0000 0.0000
0.0000 5.5687 0.0000
-2.2956 0.0000 5.0747
H Br
8 4
Direct
0.0134 0.0000 0.4486
0.2501 0.3118 0.9483
0.2499 0.8118 0.0517
0.4866 0.5000 0.5514
0.5134 0.5000 0.4486
0.7499 0.3118 0.0517
0.7501 0.8118 0.9483
0.9866 0.0000 0.5514
0.2479 0.5053 0.7673
0.2521 0.0053 0.2327
0.7479 0.0053 0.7673
0.7521 0.5053 0.2327
```

Largest 6 diffraction maxima, most intense first, 2θ = 10–90°:
2θ 17.13, I = 100
2θ 22.62, I = 98
2θ 27.65, I = 64
2θ 29.35, I = 54
2θ 36.64, I = 29
2θ 32.15, I = 21

=====

No. 11
Calculated PXRD pattern
Compound: Na2Ca2Cr
Radiation: Cu Kα
Structure: DFT lattice parameters and positions (GGA-PBE)

```
Na2Ca2Cr
1.0
4.1247 0.0000 0.0000
0.0000 4.1247 0.0000
0.0000 0.0000 20.0646
Na Ca Cr
4 4 2
Direct
0.0000 0.5000 0.2500
0.0000 0.5000 0.7500
0.5000 0.0000 0.2500
0.5000 0.0000 0.7500
0.0000 0.0000 0.0884
0.0000 0.0000 0.9116
0.5000 0.5000 0.4116
0.5000 0.5000 0.5884
0.0000 0.0000 0.5000
0.5000 0.5000 0.0000
```

Largest 6 diffraction maxima, most intense first, 2θ = 10–90°:
2θ 31.96, I = 100
2θ 31.09, I = 97
2θ 38.24, I = 40
2θ 25.37, I = 36
2θ 43.90, I = 35
2θ 54.77, I = 33

=====

No. 12
Calculated PXRD pattern
Compound: ThB2PtRh2
Radiation: Cu Kα
Structure: DFT lattice parameters and positions (GGA-PBE)

```
ThB2PtRh2
1.0
4.0451 0.0000 0.0000
0.0000 4.0451 0.0000
0.0000 0.0000 11.4414
Th B Pt Rh
2 4 2 4
Direct
0.0000 0.0000 0.0000
0.5000 0.5000 0.5000
0.0000 0.0000 0.3125
0.0000 0.0000 0.6875
0.5000 0.5000 0.1875
0.5000 0.5000 0.8125
0.0000 0.0000 0.5000
0.5000 0.5000 0.0000
0.0000 0.5000 0.2500
0.0000 0.5000 0.7500
0.5000 0.0000 0.2500
0.5000 0.0000 0.7500
```

Largest 6 diffraction maxima, most intense first, 2θ = 10–90°:
2θ 35.08, I = 100
2θ 31.27, I = 44
2θ 44.81, I = 33
2θ 55.66, I = 28
2θ 58.14, I = 25
2θ 76.28, I = 21